1.
Diffraction record for SrCa7Ti2Mn6O21. The X-ray diffraction stick pattern is computed, not measured: it uses a cell relaxed with GGA+U and Cu Kα.
Peak positions follow from Bragg's law for the DFT cell and can differ from measured ones.

Principal peaks in the range 10 to 80 degrees two-theta, most intense first:
32.42°, I 100.0; 32.53°, I 99.1; 32.01°, I 53.7; 32.27°, I 48.2; 46.92°, I 38.1; 46.08°, I 36.1; 46.26°, I 31.2; 57.48°, I 27.3; 57.95°, I 24.5; 22.63°, I 18.8

Atomic structure:
abc: 7.7465 7.8498 7.8793
angles: 90.64 90.52 90.06
Atoms (fractional coordinates):
Sr: 0.0000 0.0000 0.0000
Ca: 0.0220 0.4860 0.4942
Ca: 0.5126 0.0103 0.5211
Ca: 0.5151 0.4634 0.4860
Ca: 0.5300 0.4548 0.9754
Ca: 0.5423 0.0033 0.0170
Ca: 0.9898 0.0389 0.4725
Ca: 0.9959 0.4643 0.9584
Ti: 0.2684 0.7495 0.7531
Ti: 0.2741 0.7449 0.2233
Mn: 0.2592 0.2337 0.7275
Mn: 0.2628 0.2679 0.2348
Mn: 0.7526 0.2564 0.7342
Mn: 0.7560 0.7717 0.2603
Mn: 0.7580 0.7414 0.7481
Mn: 0.7591 0.2639 0.2429
O: 0.0041 0.2662 0.7006
O: 0.0052 0.7052 0.7787
O: 0.0146 0.2741 0.2723
O: 0.0692 0.8394 0.2715
O: 0.2147 0.9549 0.6589
O: 0.2235 0.2659 0.9825
O: 0.2751 0.5283 0.2914
O: 0.2837 0.5265 0.6745
O: 0.2875 0.7639 0.9915
O: 0.3019 0.2270 0.4751
O: 0.4708 0.8503 0.2859
O: 0.5072 0.2556 0.1902
O: 0.5096 0.1961 0.7777
O: 0.5135 0.8002 0.7337
O: 0.7057 0.4983 0.7339
O: 0.7208 0.2291 0.4988
O: 0.7417 0.7711 0.9980
O: 0.7435 0.5196 0.2699
O: 0.7750 0.0195 0.2239
O: 0.7842 0.8145 0.5156
O: 0.7875 0.2566 0.9752

2.
Diffraction record for SrCaTiMnO6. The X-ray diffraction stick pattern is computed, not measured: it uses a cell relaxed with GGA+U and Cu Kα.
Peak positions follow from Bragg's law for the DFT cell and can differ from measured ones.

Principal peaks in the range 10 to 80 degrees two-theta, most intense first:
32.68°, I 100.0; 46.89°, I 45.5; 58.32°, I 36.2; 68.48°, I 24.9; 77.96°, I 15.2; 40.31°, I 14.0; 16.17°, I 4.1; 19.84°, I 3.0; 28.20°, I 2.7; 11.42°, I 2.6

Atomic structure:
abc: 7.7513 7.7513 7.7498
angles: 90.00 90.00 90.00
Atoms (fractional coordinates):
Sr: 0.0000 0.0000 0.0000
Sr: 0.9997 0.5065 0.9999
Sr: 0.5065 0.9997 0.9999
Sr: 0.5069 0.5069 0.4929
Ca: 0.5074 0.5074 0.0004
Ca: 0.5077 0.9993 0.4924
Ca: 0.9993 0.5077 0.4924
Ca: 0.9989 0.9989 0.4925
Ti: 0.2534 0.2534 0.2482
Ti: 0.2533 0.2533 0.7450
Ti: 0.2533 0.7533 0.7437
Ti: 0.7533 0.2533 0.7437
Mn: 0.2533 0.7533 0.2474
Mn: 0.7533 0.2533 0.2474
Mn: 0.7532 0.7532 0.2476
Mn: 0.7533 0.7533 0.7447
O: 0.0002 0.2533 0.2512
O: 0.0002 0.7533 0.7419
O: 0.0025 0.2533 0.7427
O: 0.0036 0.7533 0.2533
O: 0.2521 0.2521 0.4958
O: 0.2517 0.7550 0.4933
O: 0.2533 0.0002 0.2512
O: 0.2533 0.0025 0.7427
O: 0.2532 0.5041 0.7453
O: 0.2532 0.5064 0.2477
O: 0.2546 0.2546 0.9975
O: 0.2551 0.7514 0.9995
O: 0.5030 0.7534 0.2473
O: 0.5041 0.2532 0.7453
O: 0.5064 0.2532 0.2477
O: 0.5064 0.7534 0.7454
O: 0.7503 0.7503 0.9962
O: 0.7514 0.2551 0.9995
O: 0.7533 0.0002 0.7419
O: 0.7533 0.0036 0.2533
O: 0.7534 0.5030 0.2473
O: 0.7534 0.5064 0.7454
O: 0.7550 0.2517 0.4933
O: 0.7562 0.7562 0.4969

3.
Diffraction record for SrCa7Ti2Mn6O22. The X-ray diffraction stick pattern is computed, not measured: it uses a cell relaxed with GGA+U and Cu Kα.
Peak positions follow from Bragg's law for the DFT cell and can differ from measured ones.

Principal peaks in the range 10 to 80 degrees two-theta, most intense first:
32.84°, I 100.0; 32.95°, I 70.2; 46.78°, I 30.7; 47.18°, I 29.3; 32.60°, I 28.3; 47.40°, I 22.8; 58.50°, I 19.7; 58.88°, I 18.1; 58.22°, I 13.4; 58.78°, I 12.2

Atomic structure:
abc: 7.6713 7.7055 7.7684
angles: 90.49 90.06 90.02
Atoms (fractional coordinates):
Sr: 0.0000 0.0000 0.0000
Ca: 0.0033 0.4912 0.9949
Ca: 0.5017 0.0075 0.9990
Ca: 0.5107 0.4920 0.9986
Ca: 0.5149 0.0137 0.4999
Ca: 0.5407 0.4945 0.4977
Ca: 0.9856 0.0013 0.5018
Ca: 0.9871 0.4950 0.4977
Ti: 0.2306 0.7440 0.2560
Ti: 0.2562 0.7392 0.7394
Mn: 0.2305 0.2503 0.7408
Mn: 0.2449 0.2533 0.2539
Mn: 0.7287 0.2510 0.2489
Mn: 0.7345 0.7478 0.7491
Mn: 0.7397 0.7472 0.2479
Mn: 0.7422 0.2502 0.7486
O: 0.1734 0.2408 0.4862
O: 0.1738 0.7537 0.5040
O: 0.1819 0.5006 0.7414
O: 0.1835 0.4943 0.2511
O: 0.2325 0.7390 0.9882
O: 0.2437 0.2583 0.0053
O: 0.2516 0.0007 0.2450
O: 0.2537 0.9943 0.7463
O: 0.4798 0.7033 0.7066
O: 0.4804 0.7140 0.2770
O: 0.4848 0.2820 0.7152
O: 0.4859 0.2865 0.2848
O: 0.6997 0.7495 0.9963
O: 0.7087 0.9968 0.7467
O: 0.7121 0.2485 0.0014
O: 0.7125 0.0029 0.2499
O: 0.7726 0.2465 0.4938
O: 0.7741 0.7500 0.5017
O: 0.7816 0.4924 0.2438
O: 0.7837 0.5023 0.7536
O: 0.9801 0.7760 0.2190
O: 0.9845 0.2127 0.7741